Entry 1:
# Dy3TmAu3
Calculated powder XRD pattern, Cu Kα X-rays. Input: a DFT-relaxed cell (PBE, Alexandria).

Crystal structure
Lattice parameters (Å, degrees): 7.168 7.168 7.071 95.29 95.29 87.29
Element x y z (fractional)
Dy1 0.198 0.802 0.000
Dy2 0.279 0.721 0.500
Dy3 0.306 0.306 0.004
Dy4 0.694 0.694 0.996
Dy5 0.721 0.279 0.500
Dy6 0.802 0.198 0.000
Tm1 0.234 0.234 0.474
Tm2 0.766 0.766 0.526
Au1 0.001 0.493 0.757
Au2 0.043 0.043 0.713
Au3 0.493 0.001 0.757
Au4 0.507 0.999 0.243
Au5 0.957 0.957 0.287
Au6 0.999 0.507 0.243

The 10 most intense peaks (10 to 90 degrees two-theta), by intensity:
2theta, I (rel.)
34.24, 100
37.53, 87
36.32, 44
34.88, 41
12.41, 28
51.23, 19
52.17, 17
31.78, 16
39.49, 14
59.93, 14

Entry 2:
# CeTh3
Calculated powder XRD pattern, Cu Kα X-rays. Input: a DFT-relaxed cell (PBE, Alexandria).

Crystal structure
Lattice parameters (Å, degrees): 3.502 5.915 6.080 90.00 90.00 90.00
Element x y z (fractional)
Ce1 0.000 0.000 0.000
Th1 0.000 0.500 0.326
Th2 0.500 0.000 0.500
Th3 0.500 0.500 0.829

The 10 most intense peaks (10 to 90 degrees two-theta), by intensity:
2theta, I (rel.)
33.17, 100
30.22, 28
55.58, 24
29.42, 23
61.49, 23
52.18, 19
42.68, 17
63.28, 11
86.30, 10
86.01, 10

Entry 3:
# Dy2Er6Tl
Calculated powder XRD pattern, Cu Kα X-rays. Input: a DFT-relaxed cell (PBE, Alexandria).

Crystal structure
Lattice parameters (Å, degrees): 10.527 10.527 4.856 90.00 90.00 90.00
Element x y z (fractional)
Dy1 0.162 0.162 0.000
Dy2 0.338 0.662 0.500
Dy3 0.662 0.338 0.500
Dy4 0.838 0.838 0.000
Er1 0.000 0.336 0.500
Er2 0.000 0.664 0.500
Er3 0.163 0.837 0.000
Er4 0.164 0.500 0.000
Er5 0.336 0.000 0.500
Er6 0.337 0.337 0.500
Er7 0.500 0.164 0.000
Er8 0.500 0.836 0.000
Er9 0.663 0.663 0.500
Er10 0.664 0.000 0.500
Er11 0.836 0.500 0.000
Er12 0.837 0.163 0.000
Tl1 0.000 0.000 0.500
Tl2 0.500 0.500 0.000

The 10 most intense peaks (10 to 90 degrees two-theta), by intensity:
2theta, I (rel.)
31.46, 100
36.20, 34
62.17, 29
52.75, 24
37.03, 16
63.28, 14
65.66, 12
52.13, 12
86.36, 12
85.37, 6

Entry 4:
# LaTm14Th
Calculated powder XRD pattern, Cu Kα X-rays. Input: a DFT-relaxed cell (PBE, Alexandria).

Crystal structure
Lattice parameters (Å, degrees): 10.973 6.868 6.868 71.80 90.00 90.00
Element x y z (fractional)
La1 0.000 0.000 0.000
Tm1 0.000 0.515 0.927
Tm2 0.000 0.927 0.515
Tm3 0.238 0.205 0.205
Tm4 0.253 0.137 0.712
Tm5 0.253 0.712 0.137
Tm6 0.267 0.648 0.648
Tm7 0.500 0.343 0.930
Tm8 0.500 0.410 0.410
Tm9 0.500 0.857 0.857
Tm10 0.500 0.930 0.343
Tm11 0.733 0.648 0.648
Tm12 0.747 0.137 0.712
Tm13 0.747 0.712 0.137
Tm14 0.762 0.205 0.205
Th1 0.000 0.435 0.435

The 10 most intense peaks (10 to 90 degrees two-theta), by intensity:
2theta, I (rel.)
31.92, 100
32.64, 32
57.80, 18
31.15, 18
32.18, 15
46.49, 11
64.08, 10
33.23, 9
53.49, 9
28.55, 8